Entry 1:
For Ba3SrBi2Pt, the GGA-PBE geometry in Alexandria gives the computed PXRD pattern in this record (Cu Ka).

a = 5.712 Å, b = 5.835 Å, c = 18.505 Å
α = 90.00°, β = 90.00°, γ = 90.00°
Space group Immm (No. 71)
Inequivalent atoms, fractional coordinates:
Ba: 0.000 0.000 0.000 [2 per cell]
Ba: 0.000 0.500 0.177 [4 per cell]
Sr: 0.000 0.000 0.500 [2 per cell]
Bi: 0.000 0.500 0.368 [4 per cell]
Pt: 0.000 0.500 0.000 [2 per cell]

Main lines, by angle (5° ≤ 2θ ≤ 70°):
2theta	I_rel	index
21.77	100	1 1 0
28.74	52	1 0 5
29.18	60	1 1 4
30.65	61	0 2 0
31.32	58	2 0 0
44.39	45	2 2 0



Entry 2:
For K2RbMnBr6, the GGA-PBE geometry in Alexandria gives the computed PXRD pattern in this record (Cu Ka).

a = 7.724 Å, b = 8.519 Å, c = 13.039 Å
α = 90.00°, β = 122.58°, γ = 90.00°
Space group P2_1/c (No. 14)
Inequivalent atoms, fractional coordinates:
K: 0.203 0.073 0.238 [4 per cell]
Rb: 0.000 0.000 0.500 [2 per cell]
Mn: 0.500 0.000 0.000 [2 per cell]
Br: 0.203 0.158 0.964 [4 per cell]
Br: 0.243 0.731 0.905 [4 per cell]
Br: 0.422 0.069 0.795 [4 per cell]

Main lines, by angle (5° ≤ 2θ ≤ 70°):
2theta	I_rel	index
15.50	89	1 1 -1
26.26	100	1 0 2
27.10	82	2 1 -3
28.52	79	1 2 1
29.58	84	1 1 -4
34.69	69	2 2 0